Structure and theoretical XRD peak list of Dy2UN3 (a DFT-relaxed cell (PBE, Alexandria); Cu Kα (λ = 1.5418 Å)).

Cell and atoms:
```
Dy2UN3
1.0
3.4532 0.0000 0.0000
-1.7266 2.9906 0.0000
0.0000 0.0000 8.5362
Dy U N
2 1 3
Direct
0.3333 0.6667 0.1616 Dy
0.6667 0.3333 0.8384 Dy
0.0000 0.0000 0.5000 U
0.0000 0.0000 0.0000 N
0.3333 0.6667 0.6571 N
0.6667 0.3333 0.3429 N
```

Principal peaks in the range 15° ≤ 2θ ≤ 90°, by angle:
- 31.44 deg, I = 33.2
- 31.70 deg, I = 100.0
- 36.69 deg, I = 90.3
- 52.69 deg, I = 32.4
- 53.04 deg, I = 31.0
- 62.66 deg, I = 14.9
- 62.97 deg, I = 29.5
- 63.12 deg, I = 15.1
- 66.23 deg, I = 16.0
- 89.75 deg, I = 15.0

***

Structure and theoretical XRD peak list of Dy2W2N7 (a DFT-relaxed cell (PBE, Alexandria); Cu Kα (λ = 1.5418 Å)).

Cell and atoms:
```
Dy2W2N7
1.0
3.5426 -4.7970 0.0000
3.5426 4.7970 0.0000
-1.1482 0.0000 5.3271
Dy W N
2 2 7
Direct
0.1906 0.8094 0.0000 Dy
0.8094 0.1906 0.0000 Dy
0.2608 0.2608 0.5970 W
0.7392 0.7392 0.4030 W
0.0799 0.0799 0.2831 N
0.1009 0.4221 0.7883 N
0.4221 0.1009 0.7883 N
0.5000 0.5000 0.5000 N
0.5779 0.8991 0.2117 N
0.8991 0.5779 0.2117 N
0.9201 0.9201 0.7169 N
```

Principal peaks in the range 15° ≤ 2θ ≤ 90°, by angle:
- 24.96 deg, I = 100.0
- 27.61 deg, I = 35.8
- 30.80 deg, I = 11.6
- 31.87 deg, I = 34.9
- 33.69 deg, I = 21.9
- 33.83 deg, I = 16.3
- 34.72 deg, I = 14.9
- 42.61 deg, I = 10.2
- 48.37 deg, I = 17.8
- 54.92 deg, I = 10.2

***

Structure and theoretical XRD peak list of Dy4Zn2N (a DFT-relaxed cell (PBE, Alexandria); Cu Kα (λ = 1.5418 Å)).

Cell and atoms:
```
Dy4Zn2N
1.0
4.7748 0.0000 0.0000
0.0000 4.7748 0.0000
0.0000 0.0000 14.1113
Dy Zn N
8 4 2
Direct
0.0000 0.0000 0.1734 Dy
0.0000 0.0000 0.8266 Dy
0.0000 0.5000 0.0000 Dy
0.0000 0.5000 0.5000 Dy
0.5000 0.0000 0.0000 Dy
0.5000 0.0000 0.5000 Dy
0.5000 0.5000 0.3266 Dy
0.5000 0.5000 0.6734 Dy
0.0000 0.0000 0.3753 Zn
0.0000 0.0000 0.6247 Zn
0.5000 0.5000 0.1247 Zn
0.5000 0.5000 0.8753 Zn
0.0000 0.0000 0.0000 N
0.5000 0.5000 0.5000 N
```

Principal peaks in the range 15° ≤ 2θ ≤ 90°, by angle:
- 26.60 deg, I = 21.8
- 29.33 deg, I = 100.0
- 36.85 deg, I = 72.2
- 37.00 deg, I = 24.8
- 37.68 deg, I = 68.5
- 38.27 deg, I = 21.2
- 54.34 deg, I = 23.6
- 54.79 deg, I = 30.0
- 62.95 deg, I = 23.5
- 67.49 deg, I = 28.5

***

Structure and theoretical XRD peak list of Dy5Zr3N8 (a DFT-relaxed cell (PBE, Alexandria); Cu Kα (λ = 1.5418 Å)).

Cell and atoms:
```
Dy5Zr3N8
1.0
3.3744 1.9482 5.5411
-3.3744 1.9482 5.5411
0.0000 -3.8964 5.5411
Dy Zr N
5 3 8
Direct
0.0000 0.0000 0.0000 Dy
0.0000 0.5000 0.5000 Dy
0.5000 0.0000 0.5000 Dy
0.5000 0.5000 0.0000 Dy
0.5000 0.5000 0.5000 Dy
0.0000 0.0000 0.5000 Zr
0.0000 0.5000 0.0000 Zr
0.5000 0.0000 0.0000 Zr
0.2368 0.7500 0.7500 N
0.2444 0.2444 0.2444 N
0.2500 0.2500 0.7632 N
0.2500 0.7632 0.2500 N
0.7500 0.2368 0.7500 N
0.7500 0.7500 0.2368 N
0.7556 0.7556 0.7556 N
0.7632 0.2500 0.2500 N
```

Principal peaks in the range 15° ≤ 2θ ≤ 90°, by angle:
- 32.31 deg, I = 33.8
- 32.48 deg, I = 99.7
- 37.63 deg, I = 100.0
- 54.16 deg, I = 33.7
- 54.38 deg, I = 33.4
- 64.49 deg, I = 14.7
- 64.72 deg, I = 43.4
- 68.01 deg, I = 16.6
- 80.33 deg, I = 10.4
- 89.51 deg, I = 12.7

***

Structure and theoretical XRD peak list of DyZr3N3 (a DFT-relaxed cell (PBE, Alexandria); Cu Kα (λ = 1.5418 Å)).

Cell and atoms:
```
DyZr3N3
1.0
-4.7006 4.7006 4.7006
4.7006 -4.7006 4.7006
4.7006 4.7006 -4.7006
Dy Zr N
4 12 12
Direct
0.0000 0.2500 0.5000 Dy
0.2500 0.2500 0.2500 Dy
0.2500 0.5000 0.0000 Dy
0.5000 0.0000 0.2500 Dy
0.0080 0.0160 0.7580 Zr
0.0080 0.4920 0.2500 Zr
0.0160 0.7580 0.0080 Zr
0.2500 0.0080 0.4920 Zr
0.2500 0.7420 0.7580 Zr
0.4840 0.4920 0.7420 Zr
0.4920 0.2500 0.0080 Zr
0.4920 0.7420 0.4840 Zr
0.7420 0.4840 0.4920 Zr
0.7420 0.7580 0.2500 Zr
0.7580 0.0080 0.0160 Zr
0.7580 0.2500 0.7420 Zr
0.2428 0.7500 0.2572 N
0.2428 0.9928 0.9855 N
0.2572 0.2428 0.7500 N
0.2572 0.5145 0.5072 N
0.5072 0.2572 0.5145 N
0.5072 0.7500 0.9928 N
0.5145 0.5072 0.2572 N
0.7500 0.2572 0.2428 N
0.7500 0.9928 0.5072 N
0.9855 0.2428 0.9928 N
0.9928 0.5072 0.7500 N
0.9928 0.9855 0.2428 N
```

Principal peaks in the range 15° ≤ 2θ ≤ 90°, by angle:
- 33.01 deg, I = 100.0
- 35.74 deg, I = 4.3
- 38.30 deg, I = 71.7
- 40.72 deg, I = 2.8
- 45.24 deg, I = 2.9
- 49.43 deg, I = 4.0
- 55.27 deg, I = 46.5
- 65.90 deg, I = 40.2
- 69.24 deg, I = 15.0
- 81.99 deg, I = 6.9

***

Structure and theoretical XRD peak list of Na2Dy (a DFT-relaxed cell (PBE, Alexandria); Cu Kα (λ = 1.5418 Å)).

Cell and atoms:
```
Na2Dy
1.0
5.8466 0.0000 0.0000
-2.9233 5.0633 0.0000
0.0000 0.0000 3.4026
Na Dy
2 1
Direct
0.3333 0.6667 0.0015 Na
0.6667 0.3333 0.9985 Na
0.0000 0.0000 0.5000 Dy
```

Principal peaks in the range 15° ≤ 2θ ≤ 90°, by angle:
- 17.52 deg, I = 100.0
- 30.58 deg, I = 62.5
- 31.68 deg, I = 88.5
- 35.46 deg, I = 17.6
- 40.69 deg, I = 16.4
- 44.61 deg, I = 34.4
- 47.51 deg, I = 15.7
- 55.06 deg, I = 36.8
- 63.24 deg, I = 15.2
- 72.87 deg, I = 15.7

***

Structure and theoretical XRD peak list of Na3DyTi2Nb2O12 (a DFT-relaxed cell (PBE, Alexandria); Cu Kα (λ = 1.5418 Å)).

Cell and atoms:
```
Na3DyTi2Nb2O12
1.0
15.5670 0.0000 0.0000
0.0000 5.4678 0.0000
0.0000 0.0000 5.6016
Na Dy Ti Nb O
6 2 4 4 24
Direct
0.0000 0.2401 0.0000 Na
0.0000 0.7599 0.5000 Na
0.2525 0.2534 0.9692 Na
0.2525 0.7466 0.4692 Na
0.7475 0.2534 0.9692 Na
0.7475 0.7466 0.4692 Na
0.5000 0.2656 0.0569 Dy
0.5000 0.7344 0.5569 Dy
0.3743 0.2323 0.5200 Ti
0.3743 0.7677 0.0200 Ti
0.6257 0.2323 0.5200 Ti
0.6257 0.7677 0.0200 Ti
0.1281 0.2558 0.4767 Nb
0.1281 0.7442 0.9767 Nb
0.8719 0.2558 0.4767 Nb
0.8719 0.7442 0.9767 Nb
0.0000 0.1944 0.4896 O
0.0000 0.8056 0.9896 O
0.1130 0.4460 0.8012 O
0.1130 0.5540 0.3012 O
0.1425 0.0493 0.2032 O
0.1425 0.9507 0.7032 O
0.2553 0.3107 0.5145 O
0.2553 0.6893 0.0145 O
0.3655 0.0583 0.1821 O
0.3655 0.9417 0.6821 O
0.4075 0.4493 0.7704 O
0.4075 0.5507 0.2704 O
0.5000 0.1520 0.4543 O
0.5000 0.8480 0.9543 O
0.5925 0.4493 0.7704 O
0.5925 0.5507 0.2704 O
0.6345 0.0583 0.1821 O
0.6345 0.9417 0.6821 O
0.7447 0.3107 0.5145 O
0.7447 0.6893 0.0145 O
0.8575 0.0493 0.2032 O
0.8575 0.9507 0.7032 O
0.8870 0.4460 0.8012 O
0.8870 0.5540 0.3012 O
```

Principal peaks in the range 15° ≤ 2θ ≤ 90°, by angle:
- 17.09 deg, I = 28.4
- 23.44 deg, I = 42.3
- 25.48 deg, I = 20.4
- 31.95 deg, I = 23.4
- 32.45 deg, I = 100.0
- 32.76 deg, I = 24.5
- 46.41 deg, I = 29.6
- 46.68 deg, I = 18.4
- 58.25 deg, I = 33.0
- 67.95 deg, I = 15.8

***

Structure and theoretical XRD peak list of Na3Dy2NpO6 (a DFT-relaxed cell (PBE, Alexandria); Cu Kα (λ = 1.5418 Å)).

Cell and atoms:
```
Na3Dy2NpO6
1.0
2.9908 -5.1812 0.0000
2.9908 5.1812 0.0000
-1.9929 0.0000 5.6295
Na Dy Np O
3 2 1 6
Direct
0.0000 0.0000 0.0000 Na
0.3311 0.6689 0.0000 Na
0.6689 0.3311 0.0000 Na
0.1665 0.8335 0.5000 Dy
0.8335 0.1665 0.5000 Dy
0.5000 0.5000 0.5000 Np
0.0912 0.4288 0.2863 O
0.2338 0.2338 0.7140 O
0.4288 0.0912 0.2863 O
0.5712 0.9088 0.7137 O
0.7662 0.7662 0.2860 O
0.9088 0.5712 0.7137 O
```

Principal peaks in the range 15° ≤ 2θ ≤ 90°, by angle:
- 15.74 deg, I = 100.0
- 30.35 deg, I = 55.1
- 31.75 deg, I = 82.3
- 36.83 deg, I = 77.9
- 40.27 deg, I = 23.2
- 48.48 deg, I = 23.4
- 53.06 deg, I = 52.1
- 55.67 deg, I = 23.3
- 63.17 deg, I = 35.5
- 74.69 deg, I = 13.1

***

Structure and theoretical XRD peak list of NaDyNp2Se4 (a DFT-relaxed cell (PBE, Alexandria); Cu Kα (λ = 1.5418 Å)).

Cell and atoms:
```
NaDyNp2Se4
1.0
7.1503 0.0000 0.0000
0.0000 4.1136 0.0000
-2.3593 0.0000 6.7573
Na Dy Np Se
1 1 2 4
Direct
0.0000 0.0000 0.0000 Na
0.0000 0.5000 0.5000 Dy
0.5000 0.0000 0.5000 Np
0.5000 0.5000 0.0000 Np
0.2473 0.0000 0.7475 Se
0.2510 0.5000 0.2543 Se
0.7490 0.5000 0.7457 Se
0.7527 0.0000 0.2525 Se
```

Principal peaks in the range 15° ≤ 2θ ≤ 90°, by angle:
- 25.33 deg, I = 16.1
- 30.64 deg, I = 100.0
- 43.71 deg, I = 12.6
- 43.89 deg, I = 50.0
- 44.03 deg, I = 12.4
- 54.33 deg, I = 13.4
- 54.60 deg, I = 13.2
- 63.80 deg, I = 12.4
- 72.43 deg, I = 22.8
- 80.84 deg, I = 12.9

***

Please write out number 6 again, unchanged.
Structure and theoretical XRD peak list of Na2Dy (a DFT-relaxed cell (PBE, Alexandria); Cu Kα (λ = 1.5418 Å)).

Cell and atoms:
```
Na2Dy
1.0
5.8466 0.0000 0.0000
-2.9233 5.0633 0.0000
0.0000 0.0000 3.4026
Na Dy
2 1
Direct
0.3333 0.6667 0.0015 Na
0.6667 0.3333 0.9985 Na
0.0000 0.0000 0.5000 Dy
```

Principal peaks in the range 15° ≤ 2θ ≤ 90°, by angle:
- 17.52 deg, I = 100.0
- 30.58 deg, I = 62.5
- 31.68 deg, I = 88.5
- 35.46 deg, I = 17.6
- 40.69 deg, I = 16.4
- 44.61 deg, I = 34.4
- 47.51 deg, I = 15.7
- 55.06 deg, I = 36.8
- 63.24 deg, I = 15.2
- 72.87 deg, I = 15.7

***

What is the formula in the first record? Dy2UN3